Record 1
For Li15Au4, a structure optimized by DFT (GGA-PBE) gives the simulated powder XRD pattern in this record (a wavelength of 1.5418 Å).
Kinematic intensities with the Lorentz-polarization factor, no thermal factor.

Peak list (10 most intense, 10 to 90 degrees two-theta, by intensity)
| d (Å) | 2theta | Rel. int. |
| --- | --- | --- |
| 3.827 | 23.2 | 100 |
| 3.423 | 26.0 | 55 |
| 2.123 | 42.6 | 51 |
| 4.420 | 20.1 | 36 |
| 1.976 | 45.9 | 33 |
| 2.308 | 39.0 | 31 |
| 2.893 | 30.9 | 23 |
| 1.473 | 63.1 | 20 |
| 2.210 | 40.8 | 17 |
| 1.670 | 55.0 | 16 |

```
data_Li15Au4
_symmetry_space_group_name_H-M 'P 1'
_symmetry_Int_Tables_number 1
_cell_length_a 9.375
_cell_length_b 9.375
_cell_length_c 9.375
_cell_angle_alpha 109.47
_cell_angle_beta 109.47
_cell_angle_gamma 109.47
loop_
_symmetry_equiv_pos_as_xyz
'x,y,z'
loop_
_atom_site_label
_atom_site_fract_x
_atom_site_fract_y
_atom_site_fract_z
Li1 0.040 0.920 0.696
Li2 0.080 0.276 0.120
Li3 0.120 0.080 0.276
Li4 0.125 0.750 0.875
Li5 0.156 0.880 0.460
Li6 0.196 0.420 0.540
Li7 0.224 0.304 0.844
Li8 0.250 0.625 0.375
Li9 0.276 0.120 0.080
Li10 0.304 0.844 0.224
Li11 0.344 0.804 0.724
Li12 0.375 0.250 0.625
Li13 0.380 0.656 0.960
Li14 0.420 0.540 0.196
Li15 0.460 0.156 0.880
Li16 0.540 0.196 0.420
Li17 0.580 0.620 0.776
Li18 0.620 0.776 0.580
Li19 0.625 0.375 0.250
Li20 0.656 0.960 0.380
Li21 0.696 0.040 0.920
Li22 0.724 0.344 0.804
Li23 0.750 0.875 0.125
Li24 0.776 0.580 0.620
Li25 0.804 0.724 0.344
Li26 0.844 0.224 0.304
Li27 0.875 0.125 0.750
Li28 0.880 0.460 0.156
Li29 0.920 0.696 0.040
Li30 0.960 0.380 0.656
Au1 0.000 0.087 0.500
Au2 0.000 0.587 0.500
Au3 0.087 0.500 0.000
Au4 0.413 0.413 0.413
Au5 0.500 0.000 0.087
Au6 0.500 0.000 0.587
Au7 0.587 0.500 0.000
Au8 0.913 0.913 0.913
```


Record 2
For Rb2NaPrCl6, a structure optimized by DFT (GGA-PBE) gives the simulated powder XRD pattern in this record (a wavelength of 1.5418 Å).
Kinematic intensities with the Lorentz-polarization factor, no thermal factor.

Peak list (10 most intense, 10 to 90 degrees two-theta, by intensity)
| d (Å) | 2theta | Rel. int. |
| --- | --- | --- |
| 3.896 | 22.8 | 100 |
| 2.755 | 32.5 | 90 |
| 1.948 | 46.6 | 61 |
| 2.249 | 40.1 | 47 |
| 6.362 | 13.9 | 41 |
| 3.181 | 28.0 | 30 |
| 3.323 | 26.8 | 26 |
| 1.232 | 77.5 | 26 |
| 1.473 | 63.1 | 25 |
| 1.742 | 52.5 | 22 |

```
data_Rb2NaPrCl6
_symmetry_space_group_name_H-M 'P 1'
_symmetry_Int_Tables_number 1
_cell_length_a 7.792
_cell_length_b 7.792
_cell_length_c 7.792
_cell_angle_alpha 60.00
_cell_angle_beta 60.00
_cell_angle_gamma 60.00
loop_
_symmetry_equiv_pos_as_xyz
'x,y,z'
loop_
_atom_site_label
_atom_site_fract_x
_atom_site_fract_y
_atom_site_fract_z
Rb1 0.250 0.250 0.250
Rb2 0.750 0.750 0.750
Na1 0.000 0.000 0.000
Pr1 0.500 0.500 0.500
Cl1 0.251 0.251 0.749
Cl2 0.251 0.749 0.251
Cl3 0.251 0.749 0.749
Cl4 0.749 0.251 0.251
Cl5 0.749 0.251 0.749
Cl6 0.749 0.749 0.251
```


Record 3
For UCu5Sn, a structure optimized by DFT (GGA-PBE) gives the simulated powder XRD pattern in this record (a wavelength of 1.5418 Å).
Kinematic intensities with the Lorentz-polarization factor, no thermal factor.

Peak list (10 most intense, 10 to 90 degrees two-theta, by intensity)
| d (Å) | 2theta | Rel. int. |
| --- | --- | --- |
| 2.489 | 36.1 | 100 |
| 2.235 | 40.4 | 87 |
| 2.662 | 33.7 | 81 |
| 2.143 | 42.2 | 46 |
| 2.407 | 37.4 | 39 |
| 2.005 | 45.2 | 37 |
| 1.468 | 63.3 | 35 |
| 1.244 | 76.6 | 30 |
| 3.968 | 22.4 | 25 |
| 2.956 | 30.2 | 25 |

```
data_UCu5Sn
_symmetry_space_group_name_H-M 'P 1'
_symmetry_Int_Tables_number 1
_cell_length_a 4.977
_cell_length_b 4.977
_cell_length_c 20.310
_cell_angle_alpha 90.00
_cell_angle_beta 90.00
_cell_angle_gamma 120.00
loop_
_symmetry_equiv_pos_as_xyz
'x,y,z'
loop_
_atom_site_label
_atom_site_fract_x
_atom_site_fract_y
_atom_site_fract_z
U1 0.000 0.000 0.000
U2 0.000 0.000 0.500
U3 0.333 0.667 0.250
U4 0.667 0.333 0.750
Cu1 0.000 0.000 0.250
Cu2 0.000 0.000 0.750
Cu3 0.166 0.332 0.647
Cu4 0.166 0.332 0.853
Cu5 0.166 0.834 0.647
Cu6 0.166 0.834 0.853
Cu7 0.332 0.166 0.147
Cu8 0.332 0.166 0.353
Cu9 0.333 0.667 0.544
Cu10 0.333 0.667 0.750
Cu11 0.333 0.667 0.956
Cu12 0.667 0.333 0.044
Cu13 0.667 0.333 0.250
Cu14 0.667 0.333 0.456
Cu15 0.668 0.834 0.647
Cu16 0.668 0.834 0.853
Cu17 0.834 0.166 0.147
Cu18 0.834 0.166 0.353
Cu19 0.834 0.668 0.147
Cu20 0.834 0.668 0.353
Sn1 0.333 0.667 0.085
Sn2 0.333 0.667 0.415
Sn3 0.667 0.333 0.585
Sn4 0.667 0.333 0.915
```


Record 4
For Eu2ZnRh, a structure optimized by DFT (GGA-PBE) gives the simulated powder XRD pattern in this record (a wavelength of 1.5418 Å).
Kinematic intensities with the Lorentz-polarization factor, no thermal factor.

Peak list (10 most intense, 10 to 90 degrees two-theta, by intensity)
| d (Å) | 2theta | Rel. int. |
| --- | --- | --- |
| 2.553 | 35.2 | 100 |
| 1.474 | 63.1 | 36 |
| 1.805 | 50.6 | 18 |
| 1.142 | 84.9 | 16 |
| 1.276 | 74.3 | 11 |
| 3.610 | 24.7 | 8 |
| 1.615 | 57.0 | 4 |
| 2.084 | 43.4 | 3 |
| 1.203 | 79.7 | 2 |
| 4.169 | 21.3 | 1 |

```
data_Eu2ZnRh
_symmetry_space_group_name_H-M 'P 1'
_symmetry_Int_Tables_number 1
_cell_length_a 5.106
_cell_length_b 5.106
_cell_length_c 5.106
_cell_angle_alpha 60.00
_cell_angle_beta 60.00
_cell_angle_gamma 60.00
loop_
_symmetry_equiv_pos_as_xyz
'x,y,z'
loop_
_atom_site_label
_atom_site_fract_x
_atom_site_fract_y
_atom_site_fract_z
Eu1 0.250 0.250 0.250
Eu2 0.750 0.750 0.750
Zn1 0.000 0.000 0.000
Rh1 0.500 0.500 0.500
```


Record 5
For MgMo6Se8, a structure optimized by DFT (GGA-PBE) gives the simulated powder XRD pattern in this record (a wavelength of 1.5418 Å).
Kinematic intensities with the Lorentz-polarization factor, no thermal factor.

Peak list (10 most intense, 10 to 90 degrees two-theta, by intensity)
| d (Å) | 2theta | Rel. int. |
| --- | --- | --- |
| 6.845 | 12.9 | 100 |
| 6.764 | 13.1 | 50 |
| 2.111 | 42.8 | 34 |
| 2.040 | 44.4 | 32 |
| 2.054 | 44.1 | 30 |
| 2.299 | 39.2 | 22 |
| 1.902 | 47.8 | 22 |
| 2.388 | 37.7 | 20 |
| 1.863 | 48.9 | 18 |
| 1.854 | 49.1 | 17 |

```
data_MgMo6Se8
_symmetry_space_group_name_H-M 'P 1'
_symmetry_Int_Tables_number 1
_cell_length_a 6.809
_cell_length_b 6.861
_cell_length_c 6.879
_cell_angle_alpha 91.11
_cell_angle_beta 94.21
_cell_angle_gamma 94.98
loop_
_symmetry_equiv_pos_as_xyz
'x,y,z'
loop_
_atom_site_label
_atom_site_fract_x
_atom_site_fract_y
_atom_site_fract_z
Mg1 0.000 0.000 0.000
Mo1 0.354 0.330 0.541
Mo2 0.528 0.470 0.230
Mo3 0.574 0.681 0.577
Mo4 0.661 0.152 0.418
Mo5 0.701 0.365 0.762
Mo6 0.882 0.505 0.451
Se1 0.249 0.649 0.364
Se2 0.329 0.135 0.210
Se3 0.391 0.536 0.861
Se4 0.493 0.035 0.730
Se5 0.747 0.797 0.259
Se6 0.844 0.305 0.131
Se7 0.913 0.690 0.779
Se8 0.989 0.180 0.630
```


Record 6
For RbSnBr3, a structure optimized by DFT (GGA-PBE) gives the simulated powder XRD pattern in this record (a wavelength of 1.5418 Å).
Kinematic intensities with the Lorentz-polarization factor, no thermal factor.

Peak list (10 most intense, 10 to 90 degrees two-theta, by intensity)
| d (Å) | 2theta | Rel. int. |
| --- | --- | --- |
| 2.934 | 30.5 | 100 |
| 5.868 | 15.1 | 37 |
| 2.070 | 43.7 | 25 |
| 2.083 | 43.4 | 23 |
| 3.385 | 26.3 | 22 |
| 4.161 | 21.4 | 19 |
| 4.137 | 21.5 | 19 |
| 1.692 | 54.2 | 13 |
| 2.066 | 43.8 | 12 |
| 2.077 | 43.6 | 12 |

```
data_RbSnBr3
_symmetry_space_group_name_H-M 'P 1'
_symmetry_Int_Tables_number 1
_cell_length_a 5.865
_cell_length_b 5.868
_cell_length_c 5.871
_cell_angle_alpha 89.58
_cell_angle_beta 89.53
_cell_angle_gamma 89.85
loop_
_symmetry_equiv_pos_as_xyz
'x,y,z'
loop_
_atom_site_label
_atom_site_fract_x
_atom_site_fract_y
_atom_site_fract_z
Rb1 0.000 0.000 0.000
Sn1 0.489 0.482 0.471
Br1 0.477 0.978 0.467
Br2 0.493 0.486 0.968
Br3 0.985 0.465 0.454
```


Record 7
For YP2Ru2, a structure optimized by DFT (GGA-PBE) gives the simulated powder XRD pattern in this record (a wavelength of 1.5418 Å).
Kinematic intensities with the Lorentz-polarization factor, no thermal factor.

Peak list (10 most intense, 10 to 90 degrees two-theta, by intensity)
| d (Å) | 2theta | Rel. int. |
| --- | --- | --- |
| 2.464 | 36.5 | 100 |
| 2.030 | 44.6 | 40 |
| 4.803 | 18.5 | 22 |
| 2.514 | 35.7 | 22 |
| 1.240 | 76.9 | 22 |
| 1.398 | 66.9 | 16 |
| 1.550 | 59.6 | 15 |
| 2.402 | 37.4 | 15 |
| 1.842 | 49.5 | 14 |
| 1.435 | 65.0 | 13 |

```
data_YP2Ru2
_symmetry_space_group_name_H-M 'P 1'
_symmetry_Int_Tables_number 1
_cell_length_a 5.596
_cell_length_b 5.596
_cell_length_c 5.596
_cell_angle_alpha 137.47
_cell_angle_beta 137.47
_cell_angle_gamma 61.72
loop_
_symmetry_equiv_pos_as_xyz
'x,y,z'
loop_
_atom_site_label
_atom_site_fract_x
_atom_site_fract_y
_atom_site_fract_z
Y1 0.000 0.000 0.000
P1 0.375 0.375 0.000
P2 0.625 0.625 0.000
Ru1 0.250 0.750 0.500
Ru2 0.750 0.250 0.500
```


Record 8
For MgH2, a structure optimized by DFT (GGA-PBE) gives the simulated powder XRD pattern in this record (a wavelength of 1.5418 Å).
Kinematic intensities with the Lorentz-polarization factor, no thermal factor.

Peak list (10 most intense, 10 to 90 degrees two-theta, by intensity)
| d (Å) | 2theta | Rel. int. |
| --- | --- | --- |
| 2.836 | 31.5 | 100 |
| 3.470 | 25.7 | 28 |
| 2.377 | 37.9 | 25 |
| 2.462 | 36.5 | 19 |
| 1.636 | 56.2 | 18 |
| 2.256 | 40.0 | 14 |
| 1.663 | 55.2 | 13 |
| 1.387 | 67.5 | 13 |
| 1.483 | 62.6 | 13 |
| 1.679 | 54.7 | 13 |

```
data_MgH2
_symmetry_space_group_name_H-M 'P 1'
_symmetry_Int_Tables_number 1
_cell_length_a 4.511
_cell_length_b 5.428
_cell_length_c 4.923
_cell_angle_alpha 90.00
_cell_angle_beta 90.00
_cell_angle_gamma 90.00
loop_
_symmetry_equiv_pos_as_xyz
'x,y,z'
loop_
_atom_site_label
_atom_site_fract_x
_atom_site_fract_y
_atom_site_fract_z
Mg1 0.000 0.170 0.250
Mg2 0.000 0.830 0.750
Mg3 0.500 0.330 0.750
Mg4 0.500 0.670 0.250
H1 0.227 0.109 0.580
H2 0.227 0.891 0.080
H3 0.273 0.391 0.080
H4 0.273 0.609 0.580
H5 0.727 0.391 0.420
H6 0.727 0.609 0.920
H7 0.773 0.109 0.920
H8 0.773 0.891 0.420
```